Diffraction record for TiFe5O8. The X-ray diffraction stick pattern is simulated, not measured: it uses DFT lattice parameters and positions (GGA+U) and Cu Kα, 1.54184 Å.

The 12 most intense peaks (5° ≤ 2θ ≤ 70°), by angle:
2θ/deg, I/Imax
29.25, 36
29.49, 25
34.41, 48
34.61, 100
34.72, 64
42.02, 42
52.17, 14
55.32, 15
55.53, 26
55.68, 23
60.66, 47
61.20, 48

```
data_TiFe5O8
_cell_length_a 6.0578
_cell_length_b 6.0578
_cell_length_c 15.0174
_cell_angle_alpha 90.00
_cell_angle_beta 90.00
_cell_angle_gamma 120.00
_space_group_name_H-M_alt 'R -3 m'
_space_group_IT_number 166
_space_group_name_Hall '-R 3 2"'
loop_
_atom_site_label
_atom_site_fract_x
_atom_site_fract_y
_atom_site_fract_z
Ti1 0.0000 0.0000 0.0000
Fe1 0.0000 0.0000 0.3696
Fe2 0.0000 0.5000 0.5000
O1 0.0000 0.0000 0.2419
O2 0.0180 0.5090 0.7424
```